BaMg14Sn: computed powder X-ray diffraction pattern (a wavelength of 1.5418 Å), based on DFT lattice parameters and positions (GGA-PBE).
Kinematic intensities with the Lorentz-polarization factor, no thermal factor.

Most intense lines, 5° ≤ 2θ ≤ 70°, low angle first:
- (1 0 0), 10.529 Å, 8.4 deg, rel. 56
- (1 0 2), 5.049 Å, 17.6 deg, rel. 26
- (0 0 4), 2.875 Å, 31.1 deg, rel. 31
- (4 0 0), 2.632 Å, 34.1 deg, rel. 24
- (2 2 2), 2.523 Å, 35.6 deg, rel. 100
- (4 0 4), 1.941 Å, 46.8 deg, rel. 20

Atomic structure:
abc: 10.529 6.634 11.508
angles: 90.00 90.00 90.00
Space group Amm2 (No. 38)
Unique sites:
Ba (0.000, 0.000, 0.000) x2
Mg (0.000, 0.243, 0.252) x4
Mg (0.245, 0.000, 0.666) x4
Mg (0.263, 0.241, 0.414) x8
Mg (0.264, 0.000, 0.171) x4
Mg (0.500, 0.000, 0.000) x2
Mg (0.500, 0.000, 0.501) x2
Mg (0.500, 0.248, 0.748) x4
Sn (0.000, 0.000, 0.491) x2